Structure and simulated powder X-ray diffraction pattern of NaSmCoO4 (a DFT-relaxed cell (GGA+U, OQMD); Cu Ka).
Neutral-atom scattering factors, no anomalous dispersion.

Principal peaks in the range 10 to 90 degrees two-theta, in order of rising 2θ:
- d 3.145, 2θ = 28.4°, intensity 100, hkl 1 0 2
- d 2.748, 2θ = 32.6°, intensity 100, hkl 1 0 3
- d 2.564, 2θ = 35.0°, intensity 75, hkl 1 1 0
- d 2.513, 2θ = 35.7°, intensity 17, hkl 1 1 1
- d 2.074, 2θ = 43.7°, intensity 17, hkl 1 0 5
- d 1.991, 2θ = 45.6°, intensity 29, hkl 1 1 4
- d 1.813, 2θ = 50.3°, intensity 41, hkl 2 0 0
- d 1.800, 2θ = 50.7°, intensity 26, hkl 1 1 5
- d 1.571, 2θ = 58.8°, intensity 31, hkl 2 1 2
- d 1.514, 2θ = 61.2°, intensity 34, hkl 2 1 3

Crystal structure
```
data_NaSmCoO4
_space_group_name_H-M_alt 'P 4/n m m'
_space_group_IT_number 129
_cell_length_a 3.627
_cell_length_b 3.627
_cell_length_c 12.637
_cell_angle_alpha 90.00
_cell_angle_beta 90.00
_cell_angle_gamma 90.00
loop_
_space_group_symop_operation_xyz
'x,y,z'
'-x,-y,-z'
'-y+1/2,x,z'
'y+1/2,-x,-z'
'-x+1/2,-y+1/2,z'
'x+1/2,y+1/2,-z'
'y,-x+1/2,z'
'-y,x+1/2,-z'
'x+1/2,-y,-z'
'-x+1/2,y,z'
'-y,-x,-z'
'y,x,z'
'-x,y+1/2,-z'
'x,-y+1/2,z'
'y+1/2,x+1/2,-z'
'-y+1/2,-x+1/2,z'
loop_
_atom_site_label
_atom_site_type_symbol
_atom_site_fract_x
_atom_site_fract_y
_atom_site_fract_z
Na1 Na 0.250 0.250 0.094
Sm1 Sm 0.250 0.250 0.388
Co1 Co 0.250 0.250 0.776
O1 O 0.250 0.250 0.572
O2 O 0.250 0.250 0.912
O3 O 0.250 0.750 0.262
```